# 1
Structure and theoretical XRD peak list of Na2Er2PbO6 (a cell relaxed with PBE; copper Kα).

Top 6 peaks for 2θ = 5–70°, by angle:
Position (°2θ)  I/Imax
15.64  100
30.76  33
31.58  17
32.35  31
36.88  42
37.88  20

Crystal structure
Cell lengths 5.852, 10.215, 5.938 Å; angles 90.00, 107.40, 90.00 degrees
Space group C2/m (No. 12)
Asymmetric unit:
Na (0.000, 0.164, 0.000) [4 per cell]
Er (0.000, 0.335, 0.500) [4 per cell]
Pb (0.000, 0.000, 0.500) [2 per cell]
O (0.222, 0.171, 0.702) [8 per cell]
O (0.246, 0.500, 0.702) [4 per cell]

***

# 2
Structure and theoretical XRD peak list of NaErPd6O8 (a cell relaxed with PBE; copper Kα).

Top 6 peaks for 2θ = 5–70°, by angle:
Position (°2θ)  I/Imax
15.21  20
34.43  100
37.84  62
57.02  24
59.38  33
63.94  17

Crystal structure
Cell lengths 5.824, 5.824, 5.824 Å; angles 90.00, 90.00, 90.00 degrees
Space group Pm-3 (No. 200)
Asymmetric unit:
Na (0.000, 0.000, 0.000) [1 per cell]
Er (0.500, 0.500, 0.500) [1 per cell]
Pd (0.000, 0.250, 0.500) [6 per cell]
O (0.261, 0.261, 0.261) [8 per cell]

***

# 3
Structure and theoretical XRD peak list of Na3Er3PtO8 (a cell relaxed with PBE; copper Kα).

Top 6 peaks for 2θ = 5–70°, by angle:
Position (°2θ)  I/Imax
15.95  100
31.56  49
32.94  48
38.00  64
54.36  21
55.31  21

Crystal structure
Cell lengths 6.6436, 6.6436, 16.6738 Å; angles 90.00, 90.00, 120.00 degrees
Space group R-3m (No. 166, hexagonal axes)
Asymmetric unit:
Na (0.0000, 0.5000, 0.0000) [9 per cell]
Er (0.0000, 0.5000, 0.5000) [9 per cell]
Pt (0.0000, 0.0000, 0.5000) [3 per cell]
O (0.0000, 0.0000, 0.2355) [6 per cell]
O (0.0233, 0.5117, 0.2340) [18 per cell]

***

# 4
Structure and theoretical XRD peak list of Na2ErSi2O6 (a cell relaxed with PBE; copper Kα).

Top 6 peaks for 2θ = 5–70°, by angle:
Position (°2θ)  I/Imax
12.21  100
18.42  30
22.16  91
30.87  70
32.19  34
34.55  28

Crystal structure
Cell lengths 5.5612, 5.5612, 7.2503 Å; angles 90.00, 90.00, 120.00 degrees
Space group P-3 (No. 147)
Asymmetric unit:
Na (0.3333, 0.6667, 0.2967) [2 per cell]
Er (0.0000, 0.0000, 0.0000) [1 per cell]
Si (0.3333, 0.6667, 0.7958) [2 per cell]
O (0.0710, 0.7096, 0.8202) [6 per cell]